No. 1
Starting from a PBE-relaxed structure, the powder diffractogram of ZnH2O2 was calculated for Cu Kα, 1.54184 Å.
Lines closer than 0.1° are merged.

Most intense lines, 2θ = 5–70°, in order of rising 2θ:
two_theta, I (rel.)
25.1, 100.0
33.2, 44.5
33.9, 22.6
37.1, 12.3
49.0, 46.6
50.6, 29.8
51.4, 17.8
60.7, 9.6
64.7, 13.0
64.9, 11.4

```
ZnH2O2
1.0
4.8410 0.0000 0.0000
0.0000 5.2338 0.0000
0.0000 0.0000 3.1537
Zn H O
2 4 4
Direct
0.0000 0.0000 0.0000
0.5000 0.5000 0.5000
0.0092 0.3322 0.5000
0.4908 0.8322 0.0000
0.5092 0.1678 0.0000
0.9908 0.6678 0.5000
0.1609 0.7690 0.5000
0.3391 0.2690 0.0000
0.6609 0.7310 0.0000
0.8391 0.2310 0.5000
```


No. 2
Starting from a PBE-relaxed structure, the powder diffractogram of Gd3TlSn2Pb4 was calculated for Cu Kα, 1.54184 Å.
Lines closer than 0.1° are merged.

Most intense lines, 2θ = 5–70°, in order of rising 2θ:
two_theta, I (rel.)
32.2, 100.0
35.0, 18.4
38.2, 16.4
38.8, 16.1
52.7, 11.6
53.2, 11.3
61.0, 13.4
65.3, 13.6
66.0, 13.1
67.3, 11.3

```
Gd3TlSn2Pb4
1.0
2.3236 -12.8186 0.0000
2.3236 12.8186 0.0000
0.0000 0.0000 4.7154
Gd Tl Sn Pb
3 1 2 4
Direct
0.0000 0.0000 0.0000
0.1905 0.8095 0.0000
0.8095 0.1905 0.0000
0.5000 0.5000 0.5000
0.2913 0.7087 0.5000
0.7087 0.2913 0.5000
0.0982 0.9018 0.5000
0.4031 0.5969 0.0000
0.5969 0.4031 0.0000
0.9018 0.0982 0.5000
```


No. 3
Starting from a PBE-relaxed structure, the powder diffractogram of PmNi3 was calculated for Cu Kα, 1.54184 Å.
Lines closer than 0.1° are merged.

Most intense lines, 2θ = 5–70°, in order of rising 2θ:
two_theta, I (rel.)
32.8, 65.0
35.8, 53.5
35.9, 68.0
41.8, 51.7
42.3, 45.0
42.3, 100.0
45.7, 22.0
62.5, 19.3
64.4, 27.2
68.9, 20.0

```
PmNi3
1.0
4.3329 -2.5043 0.0000
4.3329 2.5043 0.0000
-2.8975 0.0000 8.2127
Pm Ni
3 9
Direct
0.0000 0.0000 0.0000
0.1388 0.1388 0.4164
0.8612 0.8612 0.5836
0.0818 0.5807 0.2430
0.3333 0.3333 0.9983
0.4189 0.4189 0.7565
0.4193 0.9182 0.7570
0.5000 0.5000 0.5000
0.5807 0.0818 0.2430
0.5811 0.5811 0.2435
0.6667 0.6667 0.0017
0.9182 0.4193 0.7570
```


No. 4
Starting from a PBE-relaxed structure, the powder diffractogram of TbCd4Tc3 was calculated for Cu Kα, 1.54184 Å.
Lines closer than 0.1° are merged.

Most intense lines, 2θ = 5–70°, in order of rising 2θ:
two_theta, I (rel.)
24.7, 100.0
25.8, 4.6
32.9, 8.2
40.9, 70.2
48.4, 28.0
48.5, 14.0
57.7, 3.9
59.2, 6.3
65.2, 4.3
65.3, 8.6

```
TbCd4Tc3
1.0
-3.1208 3.1208 6.2207
3.1208 -3.1208 6.2207
3.1208 3.1208 -6.2207
Tb Cd Tc
1 4 3
Direct
0.0000 0.0000 0.0000
0.1422 0.1422 0.5679
0.4257 0.8578 0.0000
0.5743 0.5743 0.4321
0.8578 0.4257 0.0000
0.2500 0.7500 0.5000
0.5000 0.5000 0.0000
0.7500 0.2500 0.5000
```


No. 5
Starting from a PBE-relaxed structure, the powder diffractogram of AlAg2IrSe4 was calculated for Cu Kα, 1.54184 Å.
Lines closer than 0.1° are merged.

Most intense lines, 2θ = 5–70°, in order of rising 2θ:
two_theta, I (rel.)
15.3, 7.9
16.9, 13.7
21.4, 7.3
26.4, 100.0
35.0, 5.9
43.6, 23.4
43.9, 47.7
51.6, 28.9
52.2, 14.9
63.3, 7.0

```
AlAg2IrSe4
1.0
-2.9382 2.9382 5.8034
2.9382 -2.9382 5.8034
2.9382 2.9382 -5.8034
Al Ag Ir Se
1 2 1 4
Direct
0.0000 0.0000 0.0000
0.2500 0.7500 0.5000
0.5000 0.5000 0.0000
0.7500 0.2500 0.5000
0.0908 0.1280 0.4702
0.3794 0.9092 0.0372
0.6578 0.6206 0.5298
0.8720 0.3422 0.9628
```


No. 6
Starting from a PBE-relaxed structure, the powder diffractogram of RbTlWS3 was calculated for Cu Kα, 1.54184 Å.
Lines closer than 0.1° are merged.

Most intense lines, 2θ = 5–70°, in order of rising 2θ:
two_theta, I (rel.)
8.9, 90.7
12.8, 64.9
20.6, 86.0
25.8, 55.9
28.9, 100.0
32.1, 49.7
37.5, 36.1
39.1, 31.6
45.3, 34.3
48.1, 49.3

```
RbTlWS3
1.0
1.7426 -9.9624 0.0000
1.7426 9.9624 0.0000
0.0000 0.0000 9.5861
Rb Tl W S
2 2 2 6
Direct
0.1984 0.8016 0.7500
0.8016 0.1984 0.2500
0.1351 0.8649 0.2500
0.8649 0.1351 0.7500
0.5000 0.5000 0.0000
0.5000 0.5000 0.5000
0.0838 0.9162 0.5378
0.0838 0.9162 0.9622
0.4731 0.5269 0.7500
0.5269 0.4731 0.2500
0.9162 0.0838 0.0378
0.9162 0.0838 0.4622
```